Cs2K4Rb: theoretical powder diffraction line list (λ = 1.5418 Å (Cu Kα)), based on a cell relaxed with PBE.
Intensities are scaled so that the largest is 100.

Largest 10 diffraction maxima, sorted by position, 5 to 70 degrees two-theta:
10.688 Å, I 55.2
5.878 Å, I 46.5
4.411 Å, I 63.1
4.130 Å, I 100.0
3.914 Å, I 80.7
3.787 Å, I 66.3
3.734 Å, I 92.4
3.591 Å, I 91.2
2.406 Å, I 40.4
2.089 Å, I 34.3

Structure:
Cell: 11.760 4.845 11.803 Å, 90.00 114.91 90.00°
Sites, in units of the cell vectors:
Cs 0.073 0.000 0.324
Cs 0.927 0.000 0.676
K 0.239 0.500 0.052
K 0.378 0.000 0.786
K 0.622 0.000 0.214
K 0.761 0.500 0.948
Rb 0.500 0.500 0.500

=====

Np3PS2: theoretical powder diffraction line list (λ = 1.5418 Å (Cu Kα)), based on a cell relaxed with PBE.
Intensities are scaled so that the largest is 100.

Largest 6 diffraction maxima, sorted by position, 5 to 70 degrees two-theta:
3.209 Å, I 100.0
2.779 Å, I 92.5
1.965 Å, I 68.6
1.676 Å, I 49.9
1.605 Å, I 24.2
1.390 Å, I 11.3

Structure:
Cell: 6.806 6.806 6.806 Å, 146.40 131.84 60.00°
Sites, in units of the cell vectors:
Np 0.000 0.000 0.000
Np 0.333 0.333 0.000
Np 0.667 0.667 0.000
P 0.500 0.000 0.500
S 0.166 0.666 0.500
S 0.834 0.334 0.500

=====

Li3TlSb: theoretical powder diffraction line list (λ = 1.5418 Å (Cu Kα)), based on a cell relaxed with PBE.
Intensities are scaled so that the largest is 100.

Largest 10 diffraction maxima, sorted by position, 5 to 70 degrees two-theta:
6.372 Å, I 28.6
3.831 Å, I 100.0
3.543 Å, I 19.7
3.324 Å, I 41.7
3.061 Å, I 24.5
2.611 Å, I 36.9
2.421 Å, I 39.2
2.354 Å, I 20.5
2.277 Å, I 18.3
1.878 Å, I 20.1

Structure:
Cell: 6.714 4.554 7.467 Å, 90.00 108.36 90.00°
Sites, in units of the cell vectors:
Li 0.067 0.250 0.100
Li 0.357 0.250 0.451
Li 0.419 0.750 0.846
Li 0.581 0.250 0.154
Li 0.643 0.750 0.549
Li 0.933 0.750 0.900
Tl 0.070 0.250 0.667
Tl 0.930 0.750 0.333
Sb 0.329 0.750 0.198
Sb 0.671 0.250 0.802

=====

CaAg2Bi: theoretical powder diffraction line list (λ = 1.5418 Å (Cu Kα)), based on a cell relaxed with PBE.
Intensities are scaled so that the largest is 100.

Largest 10 diffraction maxima, sorted by position, 5 to 70 degrees two-theta:
5.300 Å, I 42.0
4.520 Å, I 19.7
4.445 Å, I 52.2
3.233 Å, I 23.1
3.028 Å, I 18.6
2.720 Å, I 100.0
2.499 Å, I 44.6
2.330 Å, I 94.5
2.222 Å, I 32.1
1.421 Å, I 18.5

Structure:
Cell: 4.998 8.159 5.855 Å, 90.00 115.15 90.00°
Sites, in units of the cell vectors:
Ca 0.073 0.250 0.147
Ca 0.927 0.750 0.853
Ag 0.245 0.579 0.491
Ag 0.245 0.921 0.491
Ag 0.755 0.079 0.509
Ag 0.755 0.421 0.509
Bi 0.382 0.250 0.766
Bi 0.618 0.750 0.234